Starting from a DFT-relaxed cell (PBE, the Materials Project), the powder X-ray diffraction pattern of MgTi3Bi4O12 was simulated for Cu Kα X-rays.
Lines closer than 0.1° are merged.

Principal peaks in the range 15 to 90 degrees two-theta, in order of rising 2θ:
- 22.86°, I = 47
- 23.19°, I = 26
- 24.41°, I = 18
- 27.34°, I = 60
- 29.40°, I = 100
- 30.44°, I = 58
- 31.93°, I = 22
- 32.10°, I = 59
- 34.43°, I = 23
- 46.03°, I = 24
- 47.80°, I = 20
- 48.92°, I = 23

Cell and atoms:
Cell: 3.9540 3.9557 18.2539 Å, 88.07 87.98 89.62°
Atoms (fractional coordinates):
Mg1 0.0000 0.0000 0.0000
Ti1 0.3400 0.3398 0.2754
Ti2 0.5000 0.5000 0.0000
Ti3 0.6600 0.6602 0.7246
Bi1 0.1896 0.1908 0.8334
Bi2 0.2534 0.2543 0.5673
Bi3 0.7466 0.7457 0.4327
Bi4 0.8104 0.8092 0.1666
O1 0.0000 0.5000 0.0000
O2 0.1495 0.6422 0.7557
O3 0.2481 0.7520 0.5000
O4 0.3307 0.3315 0.3714
O5 0.3583 0.8501 0.2444
O6 0.4683 0.4691 0.1109
O7 0.5000 0.0000 0.0000
O8 0.5317 0.5309 0.8891
O9 0.6417 0.1499 0.7556
O10 0.6693 0.6685 0.6286
O11 0.7519 0.2480 0.5000
O12 0.8505 0.3578 0.2443

=====

Starting from a DFT-relaxed cell (PBE, the Materials Project), the powder X-ray diffraction pattern of MgTiBi2O6 was simulated for Cu Kα X-rays.
Lines closer than 0.1° are merged.

Principal peaks in the range 15 to 90 degrees two-theta, in order of rising 2θ:
- 22.14°, I = 100
- 31.24°, I = 84
- 31.79°, I = 79
- 39.08°, I = 36
- 45.17°, I = 38
- 50.49°, I = 35
- 51.22°, I = 24
- 55.26°, I = 16
- 56.29°, I = 35
- 56.63°, I = 20
- 74.34°, I = 13
- 75.22°, I = 14

Cell and atoms:
Cell: 5.7274 5.7274 5.7274 Å, 58.88 58.88 58.88°
Atoms (fractional coordinates):
Mg1 0.0000 0.0000 0.0000
Ti1 0.4988 0.4988 0.4988
Bi1 0.2243 0.2243 0.2243
Bi2 0.7171 0.7171 0.7171
O1 0.2011 0.7729 0.3352
O2 0.2960 0.6686 0.8371
O3 0.3352 0.2011 0.7729
O4 0.6686 0.8371 0.2960
O5 0.7729 0.3352 0.2011
O6 0.8371 0.2960 0.6686

=====

Starting from a DFT-relaxed cell (PBE, the Materials Project), the powder X-ray diffraction pattern of MgTiZnBi2O6 was simulated for Cu Kα X-rays.
Lines closer than 0.1° are merged.

Principal peaks in the range 15 to 90 degrees two-theta, in order of rising 2θ:
- 22.80°, I = 16
- 26.57°, I = 100
- 27.12°, I = 11
- 32.47°, I = 36
- 35.29°, I = 23
- 35.72°, I = 43
- 42.80°, I = 21
- 46.58°, I = 20
- 48.71°, I = 12
- 53.39°, I = 21
- 54.43°, I = 29
- 60.05°, I = 20

Cell and atoms:
Cell: 5.5153 5.5153 6.5761 Å, 90.00 90.00 90.00°
Atoms (fractional coordinates):
Mg1 0.0000 0.0000 0.0000
Ti1 0.5000 0.5000 0.0751
Zn1 0.0000 0.0000 0.3922
Bi1 0.0000 0.5000 0.7619
Bi2 0.5000 0.0000 0.7619
O1 0.0000 0.0000 0.6798
O2 0.2652 0.2652 0.9469
O3 0.2652 0.7348 0.9469
O4 0.5000 0.5000 0.3333
O5 0.7348 0.2652 0.9469
O6 0.7348 0.7348 0.9469

=====

Starting from a DFT-relaxed cell (PBE, the Materials Project), the powder X-ray diffraction pattern of MgTiZnBi2O6 was simulated for Cu Kα X-rays.
Lines closer than 0.1° are merged.

Principal peaks in the range 15 to 90 degrees two-theta, in order of rising 2θ:
- 21.95°, I = 51
- 23.66°, I = 42
- 27.91°, I = 84
- 32.50°, I = 100
- 33.71°, I = 60
- 36.95°, I = 28
- 40.59°, I = 29
- 44.39°, I = 20
- 48.42°, I = 33
- 50.91°, I = 33
- 56.81°, I = 24
- 59.53°, I = 37

Cell and atoms:
Cell: 3.7599 3.7599 12.1475 Å, 90.00 90.00 90.00°
Atoms (fractional coordinates):
Mg1 0.0000 0.0000 0.0000
Ti1 0.5000 0.5000 0.8766
Zn1 0.5000 0.5000 0.4425
Bi1 0.0000 0.0000 0.2512
Bi2 0.0000 0.0000 0.6126
O1 0.0000 0.5000 0.5142
O2 0.0000 0.5000 0.9323
O3 0.5000 0.0000 0.5142
O4 0.5000 0.0000 0.9323
O5 0.5000 0.5000 0.2753
O6 0.5000 0.5000 0.7361

=====

Starting from a DFT-relaxed cell (PBE, the Materials Project), the powder X-ray diffraction pattern of MgTiZnBi2O6 was simulated for Cu Kα X-rays.
Lines closer than 0.1° are merged.

Principal peaks in the range 15 to 90 degrees two-theta, in order of rising 2θ:
- 21.79°, I = 100
- 22.00°, I = 83
- 23.76°, I = 51
- 27.69°, I = 81
- 32.93°, I = 31
- 33.08°, I = 39
- 33.56°, I = 38
- 34.14°, I = 36
- 37.23°, I = 51
- 40.49°, I = 36
- 40.86°, I = 40
- 48.62°, I = 40

Cell and atoms:
Cell: 5.2531 5.3404 6.3210 Å, 90.00 90.00 90.00°
Atoms (fractional coordinates):
Mg1 0.0000 0.0000 0.0000
Ti1 0.0000 0.5000 0.2088
Zn1 0.5000 0.0000 0.2395
Bi1 0.0000 0.0000 0.5405
Bi2 0.5000 0.5000 0.8879
O1 0.0000 0.5000 0.4922
O2 0.2490 0.2621 0.0872
O3 0.2490 0.7379 0.0872
O4 0.5000 0.0000 0.5442
O5 0.7510 0.2621 0.0872
O6 0.7510 0.7379 0.0872

=====

Starting from a DFT-relaxed cell (PBE, the Materials Project), the powder X-ray diffraction pattern of MgTiZnBi2O6 was simulated for Cu Kα X-rays.
Lines closer than 0.1° are merged.

Principal peaks in the range 15 to 90 degrees two-theta, in order of rising 2θ:
- 23.29°, I = 45
- 23.66°, I = 45
- 24.90°, I = 46
- 30.91°, I = 53
- 31.23°, I = 51
- 31.35°, I = 100
- 32.90°, I = 91
- 37.15°, I = 24
- 37.61°, I = 26
- 46.81°, I = 27
- 47.62°, I = 23
- 54.65°, I = 21

Cell and atoms:
Cell: 3.8192 3.8813 11.0483 Å, 99.54 99.86 90.05°
Atoms (fractional coordinates):
Mg1 0.0000 0.0000 0.0000
Ti1 0.4358 0.4398 0.8698
Zn1 0.1850 0.2051 0.3974
Bi1 0.5339 0.5988 0.2056
Bi2 0.7741 0.7899 0.5819
O1 0.1751 0.0917 0.1924
O2 0.2207 0.7405 0.4712
O3 0.3598 0.3695 0.7094
O4 0.4629 0.9645 0.9240
O5 0.7231 0.2394 0.4713
O6 0.9608 0.4632 0.9228

=====

Starting from a DFT-relaxed cell (PBE, the Materials Project), the powder X-ray diffraction pattern of MgTiZnBi2O6 was simulated for Cu Kα X-rays.
Lines closer than 0.1° are merged.

Principal peaks in the range 15 to 90 degrees two-theta, in order of rising 2θ:
- 15.66°, I = 18
- 23.54°, I = 58
- 28.36°, I = 68
- 33.51°, I = 100
- 37.15°, I = 24
- 39.82°, I = 17
- 41.36°, I = 20
- 48.07°, I = 25
- 52.98°, I = 26
- 54.20°, I = 19
- 56.76°, I = 21
- 59.88°, I = 21

Cell and atoms:
Cell: 3.7859 3.7859 11.3164 Å, 90.00 90.00 90.00°
Atoms (fractional coordinates):
Mg1 0.0000 0.0000 0.0000
Ti1 0.5000 0.5000 0.4944
Zn1 0.5000 0.5000 0.8932
Bi1 0.0000 0.0000 0.2836
Bi2 0.0000 0.0000 0.6794
O1 0.0000 0.5000 0.5405
O2 0.0000 0.5000 0.9450
O3 0.5000 0.0000 0.5405
O4 0.5000 0.0000 0.9450
O5 0.5000 0.5000 0.3290
O6 0.5000 0.5000 0.7093

=====

Starting from a DFT-relaxed cell (PBE, the Materials Project), the powder X-ray diffraction pattern of MgTiZnBi2O6 was simulated for Cu Kα X-rays.
Lines closer than 0.1° are merged.

Principal peaks in the range 15 to 90 degrees two-theta, in order of rising 2θ:
- 21.98°, I = 100
- 23.49°, I = 84
- 27.46°, I = 100
- 28.08°, I = 68
- 31.98°, I = 96
- 32.79°, I = 98
- 33.29°, I = 58
- 33.64°, I = 59
- 44.84°, I = 32
- 48.05°, I = 64
- 50.90°, I = 31
- 59.65°, I = 38

Cell and atoms:
Cell: 3.7882 3.7882 12.1387 Å, 91.40 91.40 89.39°
Atoms (fractional coordinates):
Mg1 0.0000 0.0000 0.0000
Ti1 0.5095 0.5095 0.1210
Zn1 0.5222 0.5222 0.5544
Bi1 0.0091 0.0091 0.3865
Bi2 0.9876 0.9876 0.7487
O1 0.0051 0.5053 0.0665
O2 0.0190 0.5189 0.4841
O3 0.5053 0.0051 0.0665
O4 0.5189 0.0190 0.4841
O5 0.5211 0.5211 0.2618
O6 0.5690 0.5690 0.7215

=====

Starting from a DFT-relaxed cell (PBE, the Materials Project), the powder X-ray diffraction pattern of MgTiZnBi2O6 was simulated for Cu Kα X-rays.
Lines closer than 0.1° are merged.

Principal peaks in the range 15 to 90 degrees two-theta, in order of rising 2θ:
- 16.90°, I = 75
- 20.03°, I = 59
- 22.24°, I = 65
- 29.88°, I = 48
- 30.20°, I = 100
- 32.12°, I = 56
- 33.59°, I = 46
- 34.39°, I = 37
- 39.34°, I = 24
- 42.72°, I = 31
- 48.28°, I = 24
- 52.00°, I = 25

Cell and atoms:
Cell: 5.8523 5.8523 5.4747 Å, 103.08 103.08 75.53°
Atoms (fractional coordinates):
Mg1 0.0000 0.0000 0.0000
Ti1 0.3804 0.3804 0.2651
Zn1 0.7912 0.7912 0.2794
Bi1 0.3874 0.9274 0.6396
Bi2 0.9274 0.3874 0.6396
O1 0.1454 0.6510 0.4065
O2 0.1645 0.1645 0.3336
O3 0.3401 0.3401 0.9299
O4 0.5991 0.5991 0.3708
O5 0.6510 0.1454 0.4065
O6 0.7795 0.7795 0.9165

=====

Starting from a DFT-relaxed cell (PBE, the Materials Project), the powder X-ray diffraction pattern of MgTiZnBi2O6 was simulated for Cu Kα X-rays.
Lines closer than 0.1° are merged.

Principal peaks in the range 15 to 90 degrees two-theta, in order of rising 2θ:
- 23.20°, I = 14
- 26.57°, I = 100
- 33.05°, I = 32
- 34.88°, I = 45
- 35.56°, I = 18
- 42.32°, I = 21
- 45.82°, I = 14
- 47.44°, I = 18
- 49.33°, I = 11
- 51.97°, I = 17
- 55.19°, I = 27
- 60.21°, I = 19

Cell and atoms:
Cell: 5.4209 5.4209 6.9387 Å, 90.00 90.00 90.00°
Atoms (fractional coordinates):
Mg1 0.0000 0.0000 0.0000
Ti1 0.0000 0.0000 0.4968
Zn1 0.5000 0.5000 0.6275
Bi1 0.0000 0.5000 0.2414
Bi2 0.5000 0.0000 0.2414
O1 0.0000 0.0000 0.7396
O2 0.2521 0.2521 0.4234
O3 0.2521 0.7479 0.4234
O4 0.5000 0.5000 0.8983
O5 0.7479 0.2521 0.4234
O6 0.7479 0.7479 0.4234

=====

Starting from a DFT-relaxed cell (PBE, the Materials Project), the powder X-ray diffraction pattern of MgTiZnBi2O6 was simulated for Cu Kα X-rays.
Lines closer than 0.1° are merged.

Principal peaks in the range 15 to 90 degrees two-theta, in order of rising 2θ:
- 18.05°, I = 100
- 21.49°, I = 88
- 24.45°, I = 20
- 29.24°, I = 50
- 30.39°, I = 66
- 30.73°, I = 84
- 35.74°, I = 57
- 36.58°, I = 29
- 38.47°, I = 28
- 44.21°, I = 48
- 44.74°, I = 21
- 52.78°, I = 22

Cell and atoms:
Cell: 5.1410 5.1410 7.2819 Å, 90.88 90.88 72.90°
Atoms (fractional coordinates):
Mg1 0.0000 0.0000 0.0000
Ti1 0.2324 0.2324 0.3568
Zn1 0.2688 0.2688 0.8278
Bi1 0.6293 0.6293 0.6110
Bi2 0.6483 0.6483 0.0862
O1 0.2466 0.2466 0.1031
O2 0.3380 0.8399 0.8474
O3 0.3461 0.8697 0.3834
O4 0.3661 0.3661 0.5860
O5 0.8399 0.3380 0.8474
O6 0.8697 0.3461 0.3834

=====

Starting from a DFT-relaxed cell (PBE, the Materials Project), the powder X-ray diffraction pattern of MgTiZnBi2O6 was simulated for Cu Kα X-rays.
Lines closer than 0.1° are merged.

Principal peaks in the range 15 to 90 degrees two-theta, in order of rising 2θ:
- 16.82°, I = 85
- 19.52°, I = 62
- 27.58°, I = 38
- 31.55°, I = 100
- 32.62°, I = 49
- 33.12°, I = 20
- 34.01°, I = 18
- 42.50°, I = 22
- 43.62°, I = 34
- 48.31°, I = 15
- 51.32°, I = 25
- 56.53°, I = 26

Cell and atoms:
Cell: 6.7285 5.5807 5.5807 Å, 70.84 90.00 90.00°
Atoms (fractional coordinates):
Mg1 0.0000 0.0000 0.0000
Ti1 0.0000 0.3104 0.3104
Zn1 0.5000 0.3134 0.3134
Bi1 0.2496 0.6933 0.6933
Bi2 0.7504 0.6933 0.6933
O1 0.0000 0.3661 0.9612
O2 0.0000 0.9612 0.3661
O3 0.2316 0.4180 0.4180
O4 0.5000 0.4911 0.9409
O5 0.5000 0.9409 0.4911
O6 0.7684 0.4180 0.4180